The following is a computed powder diffractogram of NaAlMo2O8. It was derived from a GGA+U-relaxed structure, using Cu Kα.
Intensities are scaled so that the largest is 100.

Most intense lines, 15 to 90 degrees two-theta, sorted by position:
2theta  Rel. int.  h k l
22.9  100  1 0 1
31.8  37  1 1 0
33.4  14  1 0 2
46.2  14  1 0 3
51.6  22  2 1 1
66.9  18  1 1 4

a = 5.6319 Å, b = 5.6319 Å, c = 6.4369 Å
α = 90.00°, β = 90.00°, γ = 120.00°
Positions (direct):
Na 0.0000 0.0000 0.0000
Al 0.0000 0.0000 0.5000
Mo 0.3333 0.6667 0.2381
Mo 0.6667 0.3333 0.7619
O 0.1562 0.3124 0.3228
O 0.1562 0.8438 0.3228
O 0.3124 0.1562 0.6772
O 0.3333 0.6667 0.9673
O 0.6667 0.3333 0.0327
O 0.6876 0.8438 0.3228
O 0.8438 0.1562 0.6772
O 0.8438 0.6876 0.6772